For SrCa7Ti2Mn6O20, a DFT-relaxed cell (GGA+U, Alexandria) gives the calculated powder diffraction line list in this record (Cu Kα X-rays).
Intensities are scaled so that the largest is 100.

Crystal structure
```
data_SrCa7Ti2Mn6O20
_chemical_formula_sum 'Sr1 Ca7 Ti2 Mn6 O20'
_space_group_name_H-M_alt 'P 1'
_space_group_IT_number 1
_space_group_name_Hall 'P 1'
_cell_length_a 7.7148
_cell_length_b 7.9372
_cell_length_c 7.9378
_cell_angle_alpha 89.42
_cell_angle_beta 89.86
_cell_angle_gamma 89.44
loop_
_atom_site_label
_atom_site_type_symbol
_atom_site_fract_x
_atom_site_fract_y
_atom_site_fract_z
Sr1 Sr 0.0000 0.0000 0.0000
Ca1 Ca 0.0584 0.4824 0.3984
Ca2 Ca 0.0598 0.9568 0.4663
Ca3 Ca 0.0676 0.4917 0.9647
Ca4 Ca 0.4907 0.9993 0.9525
Ca5 Ca 0.4961 0.0238 0.3989
Ca6 Ca 0.4962 0.4954 0.3988
Ca7 Ca 0.5302 0.4809 0.9712
Ti1 Ti 0.7876 0.6897 0.7126
Ti2 Ti 0.7925 0.2580 0.6867
Mn1 Mn 0.2700 0.2425 0.1796
Mn2 Mn 0.2708 0.7481 0.2032
Mn3 Mn 0.2740 0.2406 0.6856
Mn4 Mn 0.3103 0.7362 0.6947
Mn5 Mn 0.7680 0.2452 0.2404
Mn6 Mn 0.7677 0.7420 0.2322
O1 O 0.0069 0.2142 0.6137
O2 O 0.0178 0.7098 0.1621
O3 O 0.0241 0.2888 0.1788
O4 O 0.2349 0.9854 0.2284
O5 O 0.2495 0.1930 0.9282
O6 O 0.2522 0.6958 0.4533
O7 O 0.2950 0.2861 0.4337
O8 O 0.3020 0.4836 0.7538
O9 O 0.3053 0.5129 0.1514
O10 O 0.3266 0.9951 0.6525
O11 O 0.5150 0.2127 0.1546
O12 O 0.5226 0.7988 0.1900
O13 O 0.5742 0.7478 0.8008
O14 O 0.6589 0.2614 0.4992
O15 O 0.7223 0.5116 0.1920
O16 O 0.7353 0.1098 0.8482
O17 O 0.7896 0.6706 0.4871
O18 O 0.8026 0.4679 0.8008
O19 O 0.8096 0.9759 0.2821
O20 O 0.9955 0.7797 0.7700
```

Main lines, in order of rising 2θ (5 to 70 degrees two-theta):
2θ (°)  d_spacing  Rel. int.
31.7  2.820  54
32.1  2.792  53
32.2  2.779  47
32.4  2.766  100
32.5  2.752  41
45.7  1.984  55